# 1
Diffraction record for Ba6Na5Tl. The powder diffractogram is computed, not measured: it uses DFT lattice parameters and positions (GGA-PBE) and λ = 1.5418 Å (Cu Kα).

Most intense lines, 2θ = 10–80°, low angle first:
| 2θ (°) | intensity | (hkl) |
| --- | --- | --- |
| 19.65 | 20 | 1 0 -2 |
| 27.39 | 100 | 1 2 -2 |
| 27.86 | 23 | 0 0 3 |
| 28.00 | 25 | 2 0 -1 |
| 39.91 | 17 | 2 0 -4 |
| 48.08 | 18 | 2 4 -1 |
| 49.00 | 16 | 1 2 -5 |
| 49.17 | 20 | 3 2 -3 |

Structure:
Lattice parameters (Å, degrees): 6.3727 9.3955 10.1170 90.00 108.28 90.00
Space group P2/m (No. 10)
Inequivalent atoms, fractional coordinates:
Ba 0.0000 0.2248 0.0000 [2 per cell]
Ba 0.3467 0.2357 0.6915 [4 per cell]
Na 0.1689 0.5000 0.3394 [2 per cell]
Na 0.1740 0.0000 0.3513 [2 per cell]
Na 0.5000 0.5000 0.0000 [1 per cell]
Tl 0.5000 0.0000 0.0000 [1 per cell]

---

# 2
Diffraction record for Pu7IrRh2. The powder diffractogram is computed, not measured: it uses DFT lattice parameters and positions (GGA-PBE) and λ = 1.5418 Å (Cu Kα).

Most intense lines, 2θ = 10–80°, low angle first:
| 2θ (°) | intensity | (hkl) |
| --- | --- | --- |
| 17.63 | 63 | 2 0 0 |
| 30.79 | 67 | 2 2 2 |
| 35.70 | 100 | 4 0 0 |
| 40.08 | 32 | 4 2 0 |
| 51.37 | 71 | 4 4 0 |
| 54.74 | 17 | 6 0 0 |
| 61.10 | 28 | 6 2 2 |
| 64.13 | 24 | 4 4 4 |

Structure:
Lattice parameters (Å, degrees): 10.0608 10.0608 10.0608 90.00 90.00 90.00
Space group Fm-3m (No. 225)
Inequivalent atoms, fractional coordinates:
Pu 0.0000 0.0000 0.0000 [4 per cell]
Pu 0.0000 0.0000 0.2386 [24 per cell]
Ir 0.0000 0.0000 0.5000 [4 per cell]
Rh 0.2500 0.2500 0.2500 [8 per cell]

---

# 3
Diffraction record for Th2Ge3Ru2. The powder diffractogram is computed, not measured: it uses DFT lattice parameters and positions (GGA-PBE) and λ = 1.5418 Å (Cu Kα).

Most intense lines, 2θ = 10–80°, low angle first:
| 2θ (°) | intensity | (hkl) |
| --- | --- | --- |
| 22.77 | 25 | 0 4 1 |
| 33.35 | 97 | 1 1 2 |
| 34.28 | 100 | 1 5 1 |
| 38.36 | 26 | 0 8 0 |
| 42.40 | 39 | 2 0 0 |
| 43.09 | 39 | 0 4 3 |
| 55.53 | 29 | 1 9 2 |
| 62.05 | 27 | 2 4 3 |

Structure:
Lattice parameters (Å, degrees): 4.2635 18.7738 7.0413 90.00 90.00 90.00
Space group Cmcm (No. 63)
Inequivalent atoms, fractional coordinates:
Th 0.0000 0.0525 0.2500 [4 per cell]
Th 0.0000 0.1633 0.7500 [4 per cell]
Ge 0.0000 0.2163 0.2500 [4 per cell]
Ge 0.0000 0.4358 0.0623 [8 per cell]
Ru 0.0000 0.3066 0.5457 [8 per cell]